1.
The following is a calculated powder diffraction line list of TbZn3Ag9. It was derived from the PBE geometry in Alexandria, using λ = 1.5418 Å (Cu Kα).
No peak broadening, texture or thermal motion is included.

Main lines, by angle (2θ = 10–90°):
2θ 33.58, I 50.1, (1 3 -2)
2θ 37.48, I 55.9, (1 1 2)
2θ 38.08, I 100.0, (0 4 2)
2θ 38.21, I 71.6, (1 5 0)
2θ 39.54, I 52.9, (2 2 -2)
2θ 43.62, I 50.9, (2 4 -1)

Atomic structure:
```
data_TbZn3Ag9
_chemical_formula_sum 'Tb2 Zn6 Ag18'
_space_group_name_H-M_alt 'C 1 2/m 1'
_space_group_IT_number 12
_space_group_name_Hall '-C 2y'
_cell_length_a 5.3079
_cell_length_b 13.3400
_cell_length_c 7.0907
_cell_angle_alpha 90.00
_cell_angle_beta 109.17
_cell_angle_gamma 90.00
loop_
_atom_site_label
_atom_site_type_symbol
_atom_site_fract_x
_atom_site_fract_y
_atom_site_fract_z
Tb1 Tb 0.0000 0.0000 0.0000
Zn1 Zn 0.0000 0.5000 0.5000
Zn2 Zn 0.2500 0.2500 0.0000
Ag1 Ag 0.0000 0.0000 0.5000
Ag2 Ag 0.0910 0.3919 0.2119
Ag3 Ag 0.1551 0.1778 0.3422
```



2.
The following is a calculated powder diffraction line list of Tb4Zn2Ag5. It was derived from the PBE geometry in Alexandria, using λ = 1.5418 Å (Cu Kα).
No peak broadening, texture or thermal motion is included.

Main lines, by angle (2θ = 10–90°):
2θ 33.39, I 100.0, (1 1 -2)
2θ 33.65, I 42.3, (2 1 0)
2θ 35.18, I 16.0, (2 1 -1)
2θ 40.71, I 17.1, (0 0 4)
2θ 41.38, I 30.0, (3 0 -2)
2θ 48.24, I 18.7, (0 2 0)

Atomic structure:
```
data_Tb4Zn2Ag5
_chemical_formula_sum 'Tb4 Zn2 Ag5'
_space_group_name_H-M_alt 'P 1 2/m 1'
_space_group_IT_number 10
_space_group_name_Hall '-P 2y'
_cell_length_a 7.5192
_cell_length_b 3.7727
_cell_length_c 8.8645
_cell_angle_alpha 90.00
_cell_angle_beta 90.11
_cell_angle_gamma 90.00
loop_
_atom_site_label
_atom_site_type_symbol
_atom_site_fract_x
_atom_site_fract_y
_atom_site_fract_z
Tb1 Tb 0.2079 0.0000 0.1373
Tb2 Tb 0.2610 0.0000 0.6085
Zn1 Zn 0.0657 0.5000 0.3743
Ag1 Ag 0.1391 0.5000 0.8724
Ag2 Ag 0.4203 0.5000 0.3498
Ag3 Ag 0.5000 0.5000 0.0000
```



3.
The following is a calculated powder diffraction line list of TbZn3Ag3. It was derived from the PBE geometry in Alexandria, using λ = 1.5418 Å (Cu Kα).
No peak broadening, texture or thermal motion is included.

Main lines, by angle (2θ = 10–90°):
2θ 14.59, I 33.2, (2 0 0)
2θ 20.70, I 60.4, (2 2 0)
2θ 25.42, I 70.6, (2 2 2)
2θ 29.43, I 44.1, (4 0 0)
2θ 44.80, I 100.0, (4 4 2)
2θ 47.36, I 58.0, (6 2 0)

Atomic structure:
```
data_TbZn3Ag3
_chemical_formula_sum 'Tb8 Zn24 Ag24'
_space_group_name_H-M_alt 'F m -3 m'
_space_group_IT_number 225
_space_group_name_Hall '-F 4 2 3'
_cell_length_a 12.1387
_cell_length_b 12.1387
_cell_length_c 12.1387
_cell_angle_alpha 90.00
_cell_angle_beta 90.00
_cell_angle_gamma 90.00
loop_
_atom_site_label
_atom_site_type_symbol
_atom_site_fract_x
_atom_site_fract_y
_atom_site_fract_z
Tb1 Tb 0.2500 0.2500 0.2500
Zn1 Zn 0.0000 0.0000 0.1470
Ag1 Ag 0.0000 0.0000 0.3412
```



4.
The following is a calculated powder diffraction line list of Tc3Ag5. It was derived from the PBE geometry in Alexandria, using λ = 1.5418 Å (Cu Kα).
No peak broadening, texture or thermal motion is included.

Main lines, by angle (2θ = 10–90°):
2θ 35.48, I 70.6, (0 8 0)
2θ 38.34, I 37.6, (2 0 -2)
2θ 39.40, I 21.8, (2 2 -2)
2θ 41.19, I 80.1, (0 4 2)
2θ 41.42, I 100.0, (2 4 0)
2θ 42.45, I 24.5, (2 4 -2)

Atomic structure:
```
data_Tc3Ag5
_chemical_formula_sum 'Tc12 Ag20'
_space_group_name_H-M_alt 'C 1 m 1'
_space_group_IT_number 8
_space_group_name_Hall 'C -2y'
_cell_length_a 5.4643
_cell_length_b 20.2391
_cell_length_c 5.4997
_cell_angle_alpha 90.00
_cell_angle_beta 117.86
_cell_angle_gamma 90.00
loop_
_atom_site_label
_atom_site_type_symbol
_atom_site_fract_x
_atom_site_fract_y
_atom_site_fract_z
Tc1 Tc 0.0000 0.0000 0.0000
Tc2 Tc 0.0315 0.2661 0.8852
Tc3 Tc 0.4001 0.0000 0.9988
Tc4 Tc 0.4847 0.2618 0.3983
Ag1 Ag 0.2543 0.1396 0.1363
Ag2 Ag 0.2550 0.3880 0.1337
Ag3 Ag 0.2581 0.1163 0.6390
Ag4 Ag 0.2599 0.3614 0.6375
Ag5 Ag 0.4333 0.5000 0.4694
Ag6 Ag 0.4753 0.0000 0.5329
```